Structure and computed X-ray diffraction stick pattern of TlPH2O4 (a structure optimized by DFT (GGA-PBE); Cu Kα (λ = 1.5418 Å)).

Unit cell a=6.565 b=4.629 c=14.640 alpha=90.00 beta=91.81 gamma=90.00
Space group P2_1/c (No. 14)
Unique sites:
Tl1 0.235 0.002 0.368
P1 0.260 0.517 0.619
H1 0.000 0.000 0.000
H2 0.260 0.525 0.177
H3 0.500 0.000 0.000
O1 0.111 0.651 0.546
O2 0.168 0.222 0.177
O3 0.329 0.725 0.185
O4 0.457 0.094 0.074

The 10 most intense peaks (5° ≤ 2θ ≤ 70°), most intense first:
d 3.651, I = 100; d 3.679, I = 38; d 3.281, I = 32; d 3.358, I = 30; d 3.016, I = 28; d 4.963, I = 26; d 4.810, I = 25; d 1.955, I = 24; d 2.963, I = 21; d 2.312, I = 20

=====

Structure and computed X-ray diffraction stick pattern of Tl2ZnP4H8O16 (a structure optimized by DFT (GGA-PBE); Cu Kα (λ = 1.5418 Å)).

Unit cell a=7.064 b=7.391 c=7.792 alpha=82.13 beta=71.03 gamma=88.77
Space group P-1 (No. 2)
Unique sites:
Tl1 0.085 0.209 0.298
Zn1 0.500 0.000 0.500
P1 0.228 0.289 0.761
P2 0.362 0.760 0.224
H1 0.096 0.763 0.068
H2 0.262 0.528 0.452
H3 0.385 0.658 0.687
H4 0.401 0.788 0.830
O1 0.042 0.277 0.940
O2 0.235 0.128 0.657
O3 0.253 0.478 0.648
O4 0.258 0.569 0.321
O5 0.296 0.818 0.058
O6 0.324 0.894 0.363
O7 0.401 0.273 0.859
O8 0.455 0.768 0.700

The 10 most intense peaks (5° ≤ 2θ ≤ 70°), most intense first:
d 3.655, I = 100; d 7.307, I = 66; d 3.550, I = 63; d 3.180, I = 62; d 4.863, I = 62; d 3.067, I = 62; d 5.565, I = 42; d 2.866, I = 41; d 3.464, I = 40; d 3.007, I = 39